(1)
Starting from a DFT-relaxed cell (GGA-PBE, Alexandria), the powder diffraction line list of TmZrF7 was calculated for CuKα.

Cell and atoms:
```
TmZrF7
1.0
6.033 0.000 0.000
0.000 5.796 0.000
-1.914 0.000 8.025
Tm Zr F
2 2 14
direct
0.149 0.000 0.187
0.851 0.500 0.813
0.320 0.001 0.726
0.680 0.501 0.274
0.006 0.743 0.003
0.085 0.743 0.708
0.087 0.262 0.708
0.268 0.001 0.474
0.364 0.002 0.978
0.422 0.265 0.256
0.426 0.742 0.258
0.574 0.242 0.742
0.578 0.765 0.744
0.636 0.502 0.022
0.732 0.501 0.526
0.913 0.762 0.292
0.915 0.243 0.292
0.994 0.243 0.997
```

Main lines, by angle (2θ = 5–70°):
21.5°, intensity 100.0
22.2°, intensity 36.7
25.8°, intensity 29.3
28.4°, intensity 31.6
43.5°, intensity 18.4
47.3°, intensity 16.0

***

(2)
Starting from a DFT-relaxed cell (GGA-PBE, Alexandria), the powder diffraction line list of Ca2Ce2Ni15 was calculated for CuKα.

Cell and atoms:
```
Ca2Ce2Ni15
1.0
4.284 2.473 4.192
-4.284 2.473 4.192
0.000 -4.946 4.192
Ca Ce Ni
2 2 15
direct
0.136 0.136 0.136
0.864 0.864 0.864
0.388 0.388 0.388
0.612 0.612 0.612
0.000 0.500 0.500
0.156 0.156 0.664
0.156 0.664 0.156
0.188 0.500 0.812
0.188 0.812 0.500
0.336 0.844 0.844
0.500 0.000 0.500
0.500 0.188 0.812
0.500 0.500 0.000
0.500 0.812 0.188
0.664 0.156 0.156
0.812 0.188 0.500
0.812 0.500 0.188
0.844 0.336 0.844
0.844 0.844 0.336
```

Main lines, by angle (2θ = 5–70°):
13.9°, intensity 48.4
36.3°, intensity 45.6
42.2°, intensity 59.8
42.4°, intensity 48.3
43.2°, intensity 48.5
47.7°, intensity 100.0

***

Q: What is the formula in the second record?
A: Ca2Ce2Ni15